For NpV2FeO6, the GGA+U geometry in Alexandria gives the simulated powder X-ray diffraction pattern in this record (Cu Kα (weighted mean of Kα1 and Kα2)).

```
data_NpV2FeO6
_chemical_formula_sum 'Np1 V2 Fe1 O6'
_cell_length_a 5.3340
_cell_length_b 5.3586
_cell_length_c 5.7274
_cell_angle_alpha 62.35
_cell_angle_beta 63.11
_cell_angle_gamma 60.21
_symmetry_space_group_name_H-M 'P 1'
_symmetry_Int_Tables_number 1
_symmetry_space_group_name_Hall 'P 1'
loop_
_atom_site_label
_atom_site_type_symbol
_atom_site_fract_x
_atom_site_fract_y
_atom_site_fract_z
Np1 Np 0.0000 0.0000 0.0000
V1 V 0.3011 0.2993 0.1008
V2 V 0.7933 0.7969 0.6143
Fe1 Fe 0.5020 0.4970 0.4938
O1 O 0.0716 0.6846 0.8186
O2 O 0.1869 0.5854 0.3220
O3 O 0.4239 0.0726 0.8178
O4 O 0.5944 0.9102 0.3163
O5 O 0.6792 0.4268 0.8077
O6 O 0.9140 0.1807 0.3146
```

Largest 10 diffraction maxima, low angle first, 5 to 70 degrees two-theta:
| 2theta | I/Imax | hkl |
| --- | --- | --- |
| 18.26 | 52 | 0 0 1 |
| 20.06 | 81 | 0 1 0 |
| 22.64 | 100 | 1 1 0 |
| 22.93 | 49 | 1 0 1 |
| 30.99 | 55 | 1 0 -1 |
| 31.28 | 54 | 0 1 -1 |
| 31.41 | 53 | 1 1 2 |
| 33.43 | 99 | 1 -1 0 |
| 33.61 | 47 | 2 1 1 |
| 46.24 | 43 | 0 2 2 |